This entry pairs a crystal structure of La3Si3Au with its theoretical powder X-ray diffraction pattern. Radiation: Cu Ka. Structure: a cell relaxed with PBE.
Peak positions follow from Bragg's law for the DFT cell and can differ from measured ones.

Largest 10 diffraction maxima, most intense first, 5° ≤ 2θ ≤ 70°:
hkl	2θ (°)	I (rel.)
1 1 2	31.0	1000
0 1 5	31.1	533
1 0 3	25.7	304
0 0 2	9.4	282
1 0 7	39.8	241
0 2 0	40.7	224
2 1 5	54.5	219
2 0 0	43.6	185
0 1 3	24.6	183
1 1 4	35.2	167

```
data_La3Si3Au
_chemical_formula_sum 'La6 Si6 Au2'
_symmetry_space_group_name_H-M 'P 1'
_symmetry_Int_Tables_number 1
_cell_length_a 4.1544
_cell_length_b 4.4316
_cell_length_c 18.9000
_cell_angle_alpha 90.00
_cell_angle_beta 90.00
_cell_angle_gamma 90.00
loop_
_symmetry_equiv_pos_as_xyz
'x,y,z'
loop_
_atom_site_label
_atom_site_fract_x
_atom_site_fract_y
_atom_site_fract_z
La1 0.0000 0.0000 0.0000
La2 0.0000 0.0000 0.3708
La3 0.0000 0.5000 0.6923
La4 0.5000 0.0000 0.1923
La5 0.5000 0.5000 0.5000
La6 0.5000 0.5000 0.8708
Si1 0.0000 0.0000 0.5447
Si2 0.0000 0.0000 0.8256
Si3 0.0000 0.5000 0.2529
Si4 0.5000 0.0000 0.7529
Si5 0.5000 0.5000 0.0447
Si6 0.5000 0.5000 0.3256
Au1 0.0000 0.5000 0.1223
Au2 0.5000 0.0000 0.6223
```